(1)
For Sm2MgTi3Bi2O12, a GGA-PBE-relaxed structure gives the simulated X-ray powder pattern in this record (λ = 1.5418 Å (Cu Kα)).

abc: 3.8999 3.8999 18.3716
angles: 96.01 96.01 89.99
Fractional positions:
Sm  0.0877  0.0877  0.1720
Sm  0.9123  0.9123  0.8280
Mg  0.0000  0.0000  0.0000
Ti  0.3625  0.3625  0.7261
Ti  0.5000  0.5000  0.0000
Ti  0.6375  0.6375  0.2739
Bi  0.2164  0.2164  0.4319
Bi  0.7836  0.7836  0.5681
O  0.0000  0.5000  0.0000
O  0.1220  0.6222  0.2428
O  0.2500  0.7500  0.5000
O  0.3147  0.3147  0.6297
O  0.3778  0.8780  0.7572
O  0.4436  0.4436  0.8860
O  0.5000  0.0000  0.0000
O  0.5564  0.5564  0.1140
O  0.6222  0.1220  0.2428
O  0.6853  0.6853  0.3703
O  0.7500  0.2500  0.5000
O  0.8780  0.3778  0.7572

Principal peaks in the range 2θ = 15–90°, in order of falling intensity:
- 2θ 28.6, I = 100
- 2θ 32.5, I = 45
- 2θ 55.6, I = 33
- 2θ 31.9, I = 29
- 2θ 46.6, I = 28
- 2θ 48.1, I = 14

=====

(2)
For Mg14SnBiO16, a GGA-PBE-relaxed structure gives the simulated X-ray powder pattern in this record (λ = 1.5418 Å (Cu Kα)).

abc: 4.5039 8.8257 8.9734
angles: 90.00 90.00 90.00
Fractional positions:
Mg  0.0000  0.0000  0.0000
Mg  0.0000  0.0000  0.5000
Mg  0.0000  0.2369  0.2465
Mg  0.0000  0.2369  0.7535
Mg  0.0000  0.7631  0.2465
Mg  0.0000  0.7631  0.7535
Mg  0.5000  0.0000  0.2490
Mg  0.5000  0.0000  0.7510
Mg  0.5000  0.2359  0.5000
Mg  0.5000  0.2387  0.0000
Mg  0.5000  0.5000  0.2452
Mg  0.5000  0.5000  0.7548
Mg  0.5000  0.7613  0.0000
Mg  0.5000  0.7641  0.5000
Sn  0.0000  0.5000  0.0000
Bi  0.0000  0.5000  0.5000
O  0.0000  0.0000  0.2501
O  0.0000  0.0000  0.7499
O  0.0000  0.2270  0.0000
O  0.0000  0.2284  0.5000
O  0.0000  0.5000  0.2457
O  0.0000  0.5000  0.7543
O  0.0000  0.7716  0.5000
O  0.0000  0.7730  0.0000
O  0.5000  0.0000  0.0000
O  0.5000  0.0000  0.5000
O  0.5000  0.2507  0.2494
O  0.5000  0.2507  0.7506
O  0.5000  0.5000  0.0000
O  0.5000  0.5000  0.5000
O  0.5000  0.7493  0.2494
O  0.5000  0.7493  0.7506

Principal peaks in the range 2θ = 15–90°, in order of falling intensity:
- 2θ 34.8, I = 100
- 2θ 40.0, I = 85
- 2θ 19.7, I = 85
- 2θ 40.2, I = 84
- 2θ 40.9, I = 76
- 2θ 28.3, I = 74

=====

(3)
For Mg14SnBiO16, a GGA-PBE-relaxed structure gives the simulated X-ray powder pattern in this record (λ = 1.5418 Å (Cu Kα)).

abc: 8.8312 8.8312 4.5323
angles: 90.00 90.00 90.00
Fractional positions:
Mg  0.0000  0.2570  0.0000
Mg  0.0000  0.5000  0.5000
Mg  0.0000  0.7430  0.0000
Mg  0.2389  0.5000  0.0000
Mg  0.2470  0.2470  0.5000
Mg  0.2470  0.7530  0.5000
Mg  0.2570  0.0000  0.0000
Mg  0.5000  0.0000  0.5000
Mg  0.5000  0.2389  0.0000
Mg  0.5000  0.7611  0.0000
Mg  0.7430  0.0000  0.0000
Mg  0.7530  0.2470  0.5000
Mg  0.7530  0.7530  0.5000
Mg  0.7611  0.5000  0.0000
Sn  0.0000  0.0000  0.5000
Bi  0.5000  0.5000  0.5000
O  0.0000  0.0000  0.0000
O  0.0000  0.2701  0.5000
O  0.0000  0.5000  0.0000
O  0.0000  0.7299  0.5000
O  0.2326  0.5000  0.5000
O  0.2494  0.2494  0.0000
O  0.2494  0.7506  0.0000
O  0.2701  0.0000  0.5000
O  0.5000  0.0000  0.0000
O  0.5000  0.2326  0.5000
O  0.5000  0.5000  0.0000
O  0.5000  0.7674  0.5000
O  0.7299  0.0000  0.5000
O  0.7506  0.2494  0.0000
O  0.7506  0.7506  0.0000
O  0.7674  0.5000  0.5000

Principal peaks in the range 2θ = 15–90°, in order of falling intensity:
- 2θ 40.9, I = 100
- 2θ 24.3, I = 65
- 2θ 34.9, I = 64
- 2θ 58.4, I = 64
- 2θ 39.8, I = 55
- 2θ 20.1, I = 53